Starting from a PBE-relaxed structure, the powder XRD pattern of Ba2MgZnCd2 was computed for copper Kα.

Top 10 peaks for 10 to 90 degrees two-theta, in order of rising 2θ:
hkl  2theta  intensity
0 0 2  24.87  41
2 0 0  25.62  38
1 4 1  28.70  100
0 4 2  33.67  43
2 4 0  34.25  40
2 0 2  36.00  70
1 4 3  46.23  26
3 4 1  47.11  26
1 8 1  49.31  36
3 8 1  62.90  30

Structural model:
a = 6.955 Å, b = 15.917 Å, c = 7.161 Å
α = 90.00°, β = 90.00°, γ = 90.00°
Space group Ibam (No. 72)
Unique sites:
Ba 0.242 0.164 0.000 (multiplicity 8)
Mg 0.000 0.500 0.250 (multiplicity 4)
Zn 0.000 0.000 0.250 (multiplicity 4)
Cd 0.241 0.097 0.500 (multiplicity 8)

=====

Starting from a PBE-relaxed structure, the powder XRD pattern of BaPd2Rh3S8 was computed for copper Kα.

Top 10 peaks for 10 to 90 degrees two-theta, in order of rising 2θ:
hkl  2theta  intensity
1 0 4  23.58  40
1 1 0  24.30  38
0 1 5  27.60  54
1 1 3  28.23  100
0 2 1  28.53  52
0 2 4  34.11  39
1 2 5  44.84  48
0 3 3  45.25  31
2 0 8  48.23  59
2 2 0  49.78  56

Structural model:
a = 7.3271 Å, b = 7.3271 Å, c = 18.7756 Å
α = 90.00°, β = 90.00°, γ = 120.00°
Space group R3m (No. 160, hexagonal axes)
Unique sites:
Ba 0.0000 0.0000 0.0000 (multiplicity 3)
Pd 0.0000 0.0000 0.2487 (multiplicity 3)
Pd 0.0000 0.0000 0.6293 (multiplicity 3)
Rh 0.0006 0.5003 0.1307 (multiplicity 9)
S 0.0000 0.0000 0.3977 (multiplicity 3)
S 0.0000 0.0000 0.8529 (multiplicity 3)
S 0.0704 0.5352 0.3929 (multiplicity 9)
S 0.1852 0.3704 0.2074 (multiplicity 9)